Starting from a DFT-relaxed cell (GGA+U, the Materials Project), the powder diffractogram of CaCr2O4 was simulated for Cu Kα (λ = 1.5418 Å).
Lines closer than 0.1° are merged.

Atomic structure:
Lattice parameters (Å, degrees): 6.331 6.331 20.737 100.74 100.74 58.32
Element x y z (fractional)
Ca 0.000 0.000 0.000
Ca 0.029 0.029 0.597
Ca 0.124 0.124 0.874
Ca 0.253 0.253 0.751
Ca 0.278 0.278 0.341
Ca 0.500 0.500 0.500
Ca 0.748 0.748 0.250
Ca 0.877 0.877 0.127
Cr 0.000 0.500 0.000
Cr 0.006 0.497 0.500
Cr 0.224 0.224 0.157
Cr 0.254 0.745 0.750
Cr 0.259 0.745 0.251
Cr 0.374 0.374 0.622
Cr 0.475 0.475 0.909
Cr 0.497 0.006 0.500
Cr 0.500 0.000 0.000
Cr 0.525 0.525 0.091
Cr 0.625 0.625 0.374
Cr 0.738 0.738 0.654
Cr 0.745 0.254 0.750
Cr 0.745 0.259 0.251
Cr 0.775 0.775 0.843
Cr 0.985 0.985 0.403
O 0.051 0.051 0.705
O 0.070 0.070 0.200
O 0.086 0.570 0.684
O 0.087 0.562 0.194
O 0.182 0.666 0.059
O 0.187 0.638 0.562
O 0.204 0.204 0.059
O 0.206 0.206 0.557
O 0.298 0.298 0.449
O 0.313 0.313 0.946
O 0.330 0.822 0.435
O 0.334 0.818 0.942
O 0.438 0.911 0.807
O 0.442 0.883 0.313
O 0.453 0.453 0.810
O 0.461 0.461 0.307
O 0.543 0.543 0.690
O 0.546 0.546 0.189
O 0.562 0.087 0.194
O 0.570 0.086 0.684
O 0.638 0.187 0.562
O 0.666 0.182 0.059
O 0.688 0.688 0.054
O 0.701 0.701 0.560
O 0.796 0.796 0.942
O 0.797 0.797 0.441
O 0.818 0.334 0.942
O 0.822 0.330 0.435
O 0.883 0.442 0.313
O 0.911 0.438 0.807
O 0.929 0.929 0.803
O 0.953 0.953 0.308

Top 10 peaks for 10° ≤ 2θ ≤ 90°, low angle first:
16.87 deg, I = 35.4; 28.22 deg, I = 36.5; 28.99 deg, I = 38.2; 32.92 deg, I = 59.0; 33.65 deg, I = 100.0; 33.88 deg, I = 46.6; 34.03 deg, I = 63.0; 40.72 deg, I = 53.1; 58.35 deg, I = 51.2; 60.11 deg, I = 50.3

=====

Starting from a DFT-relaxed cell (GGA+U, the Materials Project), the powder diffractogram of CaCrO2 was simulated for Cu Kα (λ = 1.5418 Å).
Lines closer than 0.1° are merged.

Atomic structure:
Lattice parameters (Å, degrees): 3.126 8.847 9.005 85.20 80.16 80.46
Element x y z (fractional)
Ca 0.106 0.237 0.072
Ca 0.292 0.591 0.310
Ca 0.708 0.409 0.690
Ca 0.894 0.763 0.928
Cr 0.078 0.724 0.611
Cr 0.324 0.080 0.773
Cr 0.676 0.920 0.227
Cr 0.922 0.276 0.389
O 0.094 0.056 0.264
O 0.290 0.782 0.125
O 0.332 0.299 0.547
O 0.473 0.351 0.229
O 0.527 0.649 0.771
O 0.668 0.701 0.453
O 0.710 0.218 0.875
O 0.906 0.944 0.736

Top 10 peaks for 10° ≤ 2θ ≤ 90°, low angle first:
14.66 deg, I = 30.0; 20.05 deg, I = 34.6; 20.39 deg, I = 35.8; 29.57 deg, I = 48.4; 31.43 deg, I = 37.5; 32.97 deg, I = 100.0; 33.21 deg, I = 44.8; 45.61 deg, I = 36.5; 46.07 deg, I = 38.3; 46.70 deg, I = 49.6